Starting from a PBE-relaxed structure, the PXRD pattern of Zn2O3F was simulated for copper Kα.
Kinematic intensities with the Lorentz-polarization factor, no thermal factor.

Most intense lines, 10 to 90 degrees two-theta, most intense first:
d_spacing  2theta  I/Imax  index
4.339  20.5  100  0 1 1
2.520  35.6  58  1 1 1
2.773  32.3  33  0 1 3
1.777  51.4  28  1 2 2
2.647  33.9  28  1 0 2
1.605  57.4  24  1 1 5
2.550  35.2  16  0 0 4
1.864  48.9  14  1 2 1

abc: 3.0964 4.7941 10.1981
angles: 90.00 90.00 90.00
Space group Pmc2_1 (No. 26)
Asymmetric unit:
Zn 0.0000 0.1737 0.0000 x2
Zn 0.5000 0.2767 0.7181 x2
O 0.0000 0.0611 0.8027 x2
O 0.5000 0.0521 0.5595 x2
O 0.5000 0.3911 0.9088 x2
F 0.0000 0.4609 0.1539 x2

---

Starting from a PBE-relaxed structure, the PXRD pattern of Na2Mn2S3 was simulated for copper Kα.
Kinematic intensities with the Lorentz-polarization factor, no thermal factor.

Most intense lines, 10 to 90 degrees two-theta, most intense first:
d_spacing  2theta  I/Imax  index
2.495  36.0  100  2 4 1
2.059  44.0  90  3 3 -3
6.645  13.3  88  2 0 0
3.751  23.7  61  1 3 -1
3.275  27.2  55  1 3 1
3.485  25.6  53  2 0 -2
2.225  40.5  42  0 6 0
4.512  19.7  42  2 2 -1

abc: 14.9318 13.3517 6.9695
angles: 90.00 117.18 90.00
Space group C2/c (No. 15)
Asymmetric unit:
Na 0.0000 0.0710 0.2500 x4
Na 0.0000 0.2179 0.7500 x4
Na 0.1008 0.4141 0.6340 x8
Mn 0.1803 0.2359 0.2561 x8
Mn 0.2101 0.0746 0.7988 x8
S 0.1142 0.3852 0.0487 x8
S 0.1380 0.2179 0.5550 x8
S 0.1462 0.0751 0.0674 x8

---

- What is the formula in the second record?
  Na2Mn2S3